Diffraction record for Ba3SrCl4F4. The X-ray powder pattern is simulated, not measured: it uses a DFT-relaxed cell (GGA-PBE, Alexandria) and copper Kα.

Main lines, in order of rising 2θ (2θ = 10–80°):
(1 0 2), 23.7 deg, intensity 100; (1 1 0), 28.8 deg, intensity 78; (1 0 4), 32.0 deg, intensity 63; (1 1 4), 38.1 deg, intensity 65; (2 0 0), 41.2 deg, intensity 48; (2 1 2), 48.1 deg, intensity 32

Atomic structure:
a b c (Å): 4.383 4.383 14.563
angles (deg): 90.00 90.00 90.00
Space group P4mm (No. 99)
Symmetry-distinct sites (fractional):
1 Ba 0.000 0.000 0.000 [1 per cell]
2 Ba 0.000 0.000 0.489 [1 per cell]
3 Ba 0.500 0.500 0.788 [1 per cell]
4 Sr 0.500 0.500 0.292 [1 per cell]
5 Cl 0.000 0.000 0.219 [1 per cell]
6 Cl 0.000 0.000 0.713 [1 per cell]
7 Cl 0.500 0.500 0.080 [1 per cell]
8 Cl 0.500 0.500 0.562 [1 per cell]
9 F 0.000 0.500 0.382 [2 per cell]
10 F 0.000 0.500 0.895 [2 per cell]

Diffraction record for Ba2Zn2ClF7. The X-ray powder pattern is simulated, not measured: it uses a DFT-relaxed cell (GGA-PBE, Alexandria) and copper Kα.

Main lines, in order of rising 2θ (2θ = 10–80°):
(0 1 2), 25.5 deg, intensity 100; (2 1 0), 28.2 deg, intensity 64; (0 2 0), 30.3 deg, intensity 27; (1 0 -4), 39.9 deg, intensity 26; (2 2 -2), 40.8 deg, intensity 35; (4 1 0), 51.1 deg, intensity 28

Atomic structure:
a b c (Å): 7.831 5.891 9.042
angles (deg): 90.00 106.88 90.00
Space group P2_1/m (No. 11)
Symmetry-distinct sites (fractional):
1 Ba 0.165 0.250 0.411 [2 per cell]
2 Ba 0.199 0.250 0.927 [2 per cell]
3 Zn 0.317 0.750 0.174 [2 per cell]
4 Zn 0.328 0.750 0.733 [2 per cell]
5 Cl 0.383 0.750 0.471 [2 per cell]
6 F 0.129 0.507 0.160 [4 per cell]
7 F 0.139 0.502 0.654 [4 per cell]
8 F 0.247 0.750 0.933 [2 per cell]
9 F 0.493 0.002 0.171 [4 per cell]